Starting from a DFT-relaxed cell (PBE, Alexandria), the XRD peak list of LaSm4Sc2 was calculated for λ = 1.5418 Å (Cu Kα).
Lines closer than 0.1° are merged.

Crystal structure
Lattice parameters (Å, degrees): 3.5748 9.3231 13.7452 75.85 89.97 89.97
Space group P-1 (No. 2)
Inequivalent atoms, fractional coordinates:
La1 0.2485 0.3432 0.1970 x2
Sm1 0.2502 0.4126 0.4238 x2
Sm2 0.2501 0.6846 0.0160 x2
Sm3 0.2501 0.9896 0.1328 x2
Sm4 0.2509 0.9150 0.6141 x2
Sc1 0.2486 0.7874 0.3801 x2
Sc2 0.2503 0.3429 0.7680 x2

Principal peaks in the range 10 to 80 degrees two-theta, by intensity:
hkl 1 1 -2, 2θ 31.13, 2.873 Å, rel. 1000; hkl 1 1 3, 2θ 32.15, 2.785 Å, rel. 704; hkl 0 2 4, 2θ 29.15, 3.064 Å, rel. 634; hkl 0 1 -4, 2θ 30.79, 2.904 Å, rel. 559; hkl 0 0 5, 2θ 33.63, 2.665 Å, rel. 520; hkl 0 3 3, 2θ 31.55, 2.836 Å, rel. 479; hkl 1 -2 0, 2θ 31.92, 2.804 Å, rel. 414; hkl 0 3 -1, 2θ 32.01, 2.796 Å, rel. 379; hkl 0 3 0, 2θ 29.65, 3.013 Å, rel. 377; hkl 1 2 -6, 2θ 56.64, 1.625 Å, rel. 294; hkl 2 0 0, 2θ 51.10, 1.787 Å, rel. 283; hkl -1 1 6, 2θ 47.10, 1.929 Å, rel. 250